Entry 1:
# InSe3S8
Simulated X-ray powder pattern, CuKα. Input: a PBE-relaxed structure.
No peak broadening, texture or thermal motion is included.

Largest 10 diffraction maxima, low angle first, 2θ from 15° to 90°:
18.15°, rel. 64
18.47°, rel. 38
20.07°, rel. 100
21.19°, rel. 63
25.48°, rel. 34
26.13°, rel. 34
27.13°, rel. 34
27.72°, rel. 35
28.34°, rel. 37
31.03°, rel. 34

Crystal structure
```
InSe3S8
1.0
7.145 0.000 0.000
-3.058 7.492 0.000
-1.450 -2.941 7.632
In Se S
1 3 8
Cartesian
0.000 0.000 0.000
-1.524 1.877 4.376
1.876 -1.325 5.750
2.096 3.085 2.157
-2.736 3.001 6.265
-1.726 3.571 2.928
-0.029 0.448 2.716
-1.475 4.388 7.129
1.866 0.993 3.086
3.921 -1.660 4.952
4.174 2.926 1.424
5.276 -0.806 6.229
```

Entry 2:
# In4SeS5
Simulated X-ray powder pattern, CuKα. Input: a PBE-relaxed structure.
No peak broadening, texture or thermal motion is included.

Largest 10 diffraction maxima, low angle first, 2θ from 15° to 90°:
22.28°, rel. 100
26.86°, rel. 71
28.21°, rel. 15
28.43°, rel. 17
34.37°, rel. 27
40.93°, rel. 86
44.15°, rel. 36
46.18°, rel. 18
47.35°, rel. 16
51.85°, rel. 20

Crystal structure
```
In4SeS5
1.0
7.863 0.000 0.000
0.000 10.436 0.000
0.000 0.000 6.195
In Se S
8 2 10
Cartesian
0.006 2.609 0.004
1.966 5.313 3.009
1.966 10.341 3.009
3.926 2.609 0.004
3.937 7.827 6.191
5.897 0.095 3.186
5.897 5.123 3.186
7.857 7.827 6.191
1.966 2.609 4.472
5.897 7.827 1.723
0.035 5.869 4.631
0.035 9.785 4.631
1.966 7.827 1.580
3.896 5.869 4.631
3.896 9.785 4.631
3.967 0.651 1.564
3.967 4.567 1.564
5.897 2.609 4.615
7.827 0.651 1.564
7.827 4.567 1.564
```

Entry 3:
# TlInSiS4
Simulated X-ray powder pattern, CuKα. Input: a PBE-relaxed structure.
No peak broadening, texture or thermal motion is included.

Largest 10 diffraction maxima, low angle first, 2θ from 15° to 90°:
20.53°, rel. 63
23.75°, rel. 59
27.17°, rel. 100
31.83°, rel. 16
35.01°, rel. 17
37.73°, rel. 25
37.97°, rel. 27
40.30°, rel. 20
43.33°, rel. 54
57.53°, rel. 18

Crystal structure
```
TlInSiS4
1.0
4.326 -6.235 0.000
4.326 6.235 0.000
0.000 0.000 7.400
Tl In Si S
2 2 2 8
Cartesian
0.000 0.000 0.000
0.000 0.000 3.700
4.326 1.540 5.550
4.326 -1.540 1.850
4.326 1.658 1.850
4.326 -1.658 5.550
4.326 2.997 0.171
4.326 2.997 3.529
2.636 0.324 1.850
2.636 -0.324 5.550
6.016 0.324 1.850
6.016 -0.324 5.550
4.326 -2.997 3.872
4.326 -2.997 7.229
```

Entry 4:
# TlInSi2S6
Simulated X-ray powder pattern, CuKα. Input: a PBE-relaxed structure.
No peak broadening, texture or thermal motion is included.

Largest 10 diffraction maxima, low angle first, 2θ from 15° to 90°:
21.76°, rel. 62
23.22°, rel. 64
23.95°, rel. 100
26.90°, rel. 38
28.82°, rel. 64
29.29°, rel. 38
30.03°, rel. 94
32.97°, rel. 51
48.79°, rel. 42
53.99°, rel. 36

Crystal structure
```
TlInSi2S6
1.0
6.230 -6.969 0.000
6.230 6.969 0.000
-1.800 0.000 6.099
Tl In Si S
2 2 4 12
Cartesian
4.880 5.589 4.574
5.780 -5.589 1.525
5.780 3.549 1.525
4.880 -3.549 4.574
2.276 1.012 4.969
3.177 -1.012 1.919
7.484 1.012 4.180
8.384 -1.012 1.131
0.209 1.235 4.556
3.051 2.948 5.446
1.109 -1.235 1.506
3.548 0.686 3.194
4.448 -0.686 0.145
6.709 2.948 3.703
3.951 -2.948 2.396
6.213 0.686 5.954
7.113 -0.686 2.905
9.551 1.235 4.593
7.609 -2.948 0.653
10.451 -1.235 1.543
```

Entry 5:
# Tl2InSiS4
Simulated X-ray powder pattern, CuKα. Input: a PBE-relaxed structure.
No peak broadening, texture or thermal motion is included.

Largest 10 diffraction maxima, low angle first, 2θ from 15° to 90°:
15.80°, rel. 82
22.73°, rel. 82
26.45°, rel. 50
27.96°, rel. 100
28.52°, rel. 99
30.44°, rel. 36
31.48°, rel. 30
34.21°, rel. 43
36.06°, rel. 84
42.89°, rel. 35

Crystal structure
```
Tl2InSiS4
1.0
6.445 0.000 0.000
-1.424 6.287 0.000
-3.117 -2.643 5.242
Tl In Si S
2 1 1 4
Cartesian
0.000 0.000 0.000
-0.838 3.612 2.621
-0.090 1.152 5.237
3.101 0.476 2.620
-2.602 1.333 4.446
0.961 0.655 2.716
3.780 1.398 0.803
2.324 4.716 2.519
```